Structure and computed X-ray powder pattern of UPd4Se8 (a GGA-PBE-relaxed structure; Cu Kα, 1.54184 Å).
Peak positions follow from Bragg's law for the DFT cell and can differ from measured ones.

Structural model:
```
UPd4Se8
1.0
3.8835 2.2421 5.6262
-3.8835 2.2421 5.6262
0.0000 -4.4843 5.6262
U Pd Se
1 4 8
direct
0.0000 0.0000 0.0000
0.0000 0.0000 0.5000
0.0000 0.5000 0.0000
0.5000 0.0000 0.0000
0.5000 0.5000 0.5000
0.2399 0.2399 0.2399
0.2528 0.7460 0.7459
0.2540 0.2541 0.7472
0.2540 0.7472 0.2540
0.7459 0.2528 0.7459
0.7459 0.7459 0.2528
0.7472 0.2541 0.2541
0.7601 0.7601 0.7601
```

Most intense lines, 2θ = 15–90°, in order of rising 2θ:
Position (°2θ), I (rel.)
15.75, 9
16.86, 17
22.90, 8
34.09, 100
46.78, 41
51.11, 31
59.14, 20
71.79, 11
78.60, 18
85.19, 14

***

Structure and computed X-ray powder pattern of YPd2Se (a GGA-PBE-relaxed structure; Cu Kα, 1.54184 Å).
Peak positions follow from Bragg's law for the DFT cell and can differ from measured ones.

Structural model:
```
YPd2Se
1.0
-2.0197 2.0197 9.8818
2.0197 -2.0197 9.8818
2.0197 2.0197 -9.8818
Y Pd Se
2 4 2
direct
0.0000 0.0000 0.0000
0.7500 0.2500 0.5000
0.1341 0.6250 0.0091
0.3750 0.3841 0.5091
0.6159 0.1250 0.9909
0.8750 0.8659 0.4909
0.2500 0.7500 0.5000
0.5000 0.5000 0.0000
```

Most intense lines, 2θ = 15–90°, in order of rising 2θ:
Position (°2θ), I (rel.)
32.63, 100
36.37, 37
41.86, 50
48.71, 63
56.63, 20
65.34, 13
74.31, 17
75.00, 26
77.16, 19
80.68, 14